1.
CsCo2NiCl8: simulated PXRD pattern (a wavelength of 1.5418 Å), based on a GGA-PBE-relaxed structure.

Structural model:
```
CsCo2NiCl8
1.0
3.1257 1.8046 9.7541
-3.1257 1.8046 9.7541
0.0000 -3.6093 9.7541
Cs Co Ni Cl
1 2 1 8
direct
0.0000 0.0000 0.0000 Cs
0.2367 0.2367 0.2367 Co
0.7633 0.7633 0.7633 Co
0.5000 0.5000 0.5000 Ni
0.1355 0.4539 0.7653 Cl
0.2347 0.8645 0.5461 Cl
0.3117 0.3117 0.3117 Cl
0.4539 0.7653 0.1355 Cl
0.5461 0.2347 0.8645 Cl
0.6883 0.6883 0.6883 Cl
0.7653 0.1355 0.4539 Cl
0.8645 0.5461 0.2347 Cl
```

Largest 10 diffraction maxima, in order of falling intensity, 2θ = 10–90°:
- d 4.352, 20.41 deg, I 100.0
- d 2.977, 30.02 deg, I 36.2
- d 3.126, 28.56 deg, I 33.9
- d 2.632, 34.07 deg, I 29.9
- d 1.805, 50.58 deg, I 27.3
- d 1.923, 47.28 deg, I 25.2
- d 3.251, 27.43 deg, I 22.2
- d 2.539, 35.36 deg, I 21.4
- d 1.971, 46.06 deg, I 21.1
- d 3.031, 29.47 deg, I 16.5


2.
CsCo2PbCl8: simulated PXRD pattern (a wavelength of 1.5418 Å), based on a GGA-PBE-relaxed structure.

Structural model:
```
CsCo2PbCl8
1.0
3.3283 1.9216 9.8593
-3.3283 1.9216 9.8593
0.0000 -3.8432 9.8593
Cs Co Pb Cl
1 2 1 8
direct
0.0000 0.0000 0.0000 Cs
0.2493 0.2493 0.2493 Co
0.7507 0.7507 0.7507 Co
0.5000 0.5000 0.5000 Pb
0.0825 0.7928 0.4500 Cl
0.2072 0.5500 0.9175 Cl
0.3229 0.3229 0.3229 Cl
0.4500 0.0825 0.7928 Cl
0.5500 0.9175 0.2072 Cl
0.6771 0.6771 0.6771 Cl
0.7928 0.4500 0.0825 Cl
0.9175 0.2072 0.5500 Cl
```

Largest 10 diffraction maxima, in order of falling intensity, 2θ = 10–90°:
- d 4.546, 19.53 deg, I 100.0
- d 3.328, 26.79 deg, I 42.6
- d 2.758, 32.46 deg, I 39.3
- d 1.981, 45.81 deg, I 35.9
- d 3.112, 28.68 deg, I 33.5
- d 1.922, 47.30 deg, I 25.5
- d 2.686, 33.36 deg, I 25.4
- d 2.090, 43.29 deg, I 24.9
- d 1.877, 48.50 deg, I 14.8
- d 5.371, 16.50 deg, I 14.0


3.
CsRb2CoCl6: simulated PXRD pattern (a wavelength of 1.5418 Å), based on a GGA-PBE-relaxed structure.

Structural model:
```
CsRb2CoCl6
1.0
7.1364 0.0000 0.0000
0.0000 10.8609 0.0000
0.0000 0.0000 8.8595
Cs Rb Co Cl
2 4 2 12
direct
0.2500 0.2500 0.1733 Cs
0.7500 0.7500 0.8267 Cs
0.2500 0.0413 0.6694 Rb
0.2500 0.4587 0.6694 Rb
0.7500 0.5413 0.3306 Rb
0.7500 0.9587 0.3306 Rb
0.2500 0.7500 0.3166 Co
0.7500 0.2500 0.6834 Co
0.0227 0.7500 0.1365 Cl
0.0282 0.7500 0.5043 Cl
0.2500 0.5400 0.3129 Cl
0.2500 0.9600 0.3129 Cl
0.4718 0.7500 0.5043 Cl
0.4773 0.7500 0.1365 Cl
0.5227 0.2500 0.8635 Cl
0.5282 0.2500 0.4957 Cl
0.7500 0.0400 0.6871 Cl
0.7500 0.4600 0.6871 Cl
0.9718 0.2500 0.4957 Cl
0.9773 0.2500 0.8635 Cl
```

Largest 10 diffraction maxima, in order of falling intensity, 2θ = 10–90°:
- d 3.884, 22.90 deg, I 100.0
- d 2.594, 34.57 deg, I 46.3
- d 2.692, 33.28 deg, I 45.9
- d 2.442, 36.80 deg, I 39.3
- d 2.715, 32.99 deg, I 33.3
- d 2.779, 32.21 deg, I 33.2
- d 3.567, 24.96 deg, I 32.4
- d 1.711, 53.55 deg, I 24.8
- d 4.430, 20.04 deg, I 21.2
- d 3.764, 23.64 deg, I 19.9


4.
CsRbCo2Cl6: simulated PXRD pattern (a wavelength of 1.5418 Å), based on a GGA-PBE-relaxed structure.

Structural model:
```
CsRbCo2Cl6
1.0
7.1525 -5.8668 0.0000
7.1525 5.8668 0.0000
-3.3841 0.0000 8.6493
Cs Rb Co Cl
2 2 4 12
direct
0.1115 0.8885 0.7500 Cs
0.8885 0.1115 0.2500 Cs
0.3908 0.6092 0.2500 Rb
0.6092 0.3908 0.7500 Rb
0.0693 0.4349 0.8556 Co
0.4349 0.0693 0.3556 Co
0.5651 0.9307 0.6444 Co
0.9307 0.5651 0.1444 Co
0.0362 0.7422 0.3417 Cl
0.1144 0.3635 0.0857 Cl
0.2578 0.9638 0.1583 Cl
0.2700 0.5283 0.8484 Cl
0.3635 0.1144 0.5857 Cl
0.4717 0.7300 0.6516 Cl
0.5283 0.2700 0.3484 Cl
0.6365 0.8856 0.4143 Cl
0.7300 0.4717 0.1516 Cl
0.7422 0.0362 0.8417 Cl
0.8856 0.6365 0.9143 Cl
0.9638 0.2578 0.6583 Cl
```

Largest 10 diffraction maxima, in order of falling intensity, 2θ = 10–90°:
- d 4.372, 20.31 deg, I 100.0
- d 2.732, 32.78 deg, I 42.2
- d 3.053, 29.25 deg, I 41.6
- d 5.539, 16.00 deg, I 34.2
- d 4.324, 20.54 deg, I 33.6
- d 2.933, 30.47 deg, I 30.6
- d 3.142, 28.41 deg, I 29.2
- d 3.329, 26.78 deg, I 25.3
- d 7.082, 12.50 deg, I 21.9
- d 2.144, 42.14 deg, I 18.3


5.
CsCoRhCl6: simulated PXRD pattern (a wavelength of 1.5418 Å), based on a GGA-PBE-relaxed structure.

Structural model:
```
CsCoRhCl6
1.0
3.1446 -5.4472 0.0000
3.1446 5.4472 0.0000
-0.0499 0.0000 7.8950
Cs Co Rh Cl
1 1 1 6
direct
0.0000 0.0000 0.0000 Cs
0.3311 0.6689 0.5000 Co
0.6658 0.3342 0.5000 Rh
0.3719 0.0099 0.6690 Cl
0.3752 0.3682 0.3283 Cl
0.6318 0.6248 0.6717 Cl
0.6389 0.0098 0.3296 Cl
0.9902 0.3611 0.6704 Cl
0.9901 0.6281 0.3310 Cl
```

Largest 10 diffraction maxima, in order of falling intensity, 2θ = 10–90°:
- d 4.489, 19.78 deg, I 100.0
- d 2.456, 36.59 deg, I 52.4
- d 4.472, 19.85 deg, I 50.0
- d 7.895, 11.21 deg, I 40.5
- d 2.466, 36.43 deg, I 32.7
- d 1.816, 50.25 deg, I 25.2
- d 3.145, 28.38 deg, I 21.4
- d 1.993, 45.51 deg, I 20.6
- d 2.923, 30.58 deg, I 19.2
- d 2.577, 34.82 deg, I 15.7


6.
CsSmCoCl6: simulated PXRD pattern (a wavelength of 1.5418 Å), based on a GGA-PBE-relaxed structure.

Structural model:
```
CsSmCoCl6
1.0
3.3989 -5.8946 0.0000
3.3989 5.8946 0.0000
-0.0359 0.0000 7.7881
Cs Sm Co Cl
1 1 1 6
direct
0.0000 0.0000 0.0000 Cs
0.6664 0.3336 0.5000 Sm
0.3329 0.6671 0.5000 Co
0.0271 0.3891 0.6888 Cl
0.0270 0.6371 0.3114 Cl
0.3629 0.9730 0.6886 Cl
0.3696 0.3959 0.3074 Cl
0.6041 0.6304 0.6926 Cl
0.6109 0.9729 0.3112 Cl
```

Largest 10 diffraction maxima, in order of falling intensity, 2θ = 10–90°:
- d 4.698, 18.89 deg, I 100.0
- d 2.559, 35.07 deg, I 34.0
- d 2.566, 34.97 deg, I 24.1
- d 2.141, 42.20 deg, I 23.0
- d 7.788, 11.36 deg, I 22.7
- d 3.401, 26.20 deg, I 19.7
- d 2.755, 32.50 deg, I 19.7
- d 1.964, 46.23 deg, I 17.1
- d 3.117, 28.64 deg, I 15.1
- d 1.692, 54.21 deg, I 13.3


Q: What is the formula in the fifth record?
A: CsCoRhCl6